Entry 1:
# Cr5Pd
Computed powder XRD pattern, Cu Kα X-rays. Input: DFT lattice parameters and positions (PBE).

Most intense lines, 2θ = 10–90°, in order of falling intensity:
2theta  I/Imax
43.07  100
43.71  19
78.97  17
63.07  11
79.84  10
78.48  6

Structural model:
a b c (Å): 4.1969 12.4266 2.9939
angles (deg): 90.00 90.00 90.00
Element x y z (fractional)
Cr (0.0000, 0.0000, 0.0000)
Cr (0.0000, 0.1656, 0.5000)
Cr (0.0000, 0.3236, 0.0000)
Cr (0.0000, 0.6764, 0.0000)
Cr (0.0000, 0.8344, 0.5000)
Cr (0.5000, 0.1764, 0.0000)
Cr (0.5000, 0.3344, 0.5000)
Cr (0.5000, 0.5000, 0.0000)
Cr (0.5000, 0.6656, 0.5000)
Cr (0.5000, 0.8236, 0.0000)
Pd (0.0000, 0.5000, 0.5000)
Pd (0.5000, 0.0000, 0.5000)


Entry 2:
# CrPdPt
Computed powder XRD pattern, Cu Kα X-rays. Input: DFT lattice parameters and positions (PBE).

Most intense lines, 2θ = 10–90°, in order of falling intensity:
2theta  I/Imax
40.04  100
47.10  62
39.86  51
40.49  49
22.71  47
45.75  35

Structural model:
a b c (Å): 4.7758 8.2048 4.8471
angles (deg): 90.00 111.08 90.00
Element x y z (fractional)
Cr (0.0000, 0.0925, 0.2500)
Cr (0.0000, 0.9075, 0.7500)
Cr (0.5000, 0.4075, 0.7500)
Cr (0.5000, 0.5925, 0.2500)
Pd (0.0000, 0.2416, 0.7500)
Pd (0.0000, 0.7584, 0.2500)
Pd (0.5000, 0.2584, 0.2500)
Pd (0.5000, 0.7416, 0.7500)
Pt (0.0000, 0.4214, 0.2500)
Pt (0.0000, 0.5786, 0.7500)
Pt (0.5000, 0.0786, 0.7500)
Pt (0.5000, 0.9214, 0.2500)


Entry 3:
# CrPd5Pt5
Computed powder XRD pattern, Cu Kα X-rays. Input: DFT lattice parameters and positions (PBE).

Most intense lines, 2θ = 10–90°, in order of falling intensity:
2theta  I/Imax
41.73  100
42.08  69
40.61  57
42.19  56
41.01  37
41.13  30

Structural model:
a b c (Å): 5.0999 5.1151 6.8582
angles (deg): 95.57 99.67 95.98
Element x y z (fractional)
Cr (0.0000, 0.0000, 0.0000)
Pd (0.1724, 0.0043, 0.6623)
Pd (0.2287, 0.4781, 0.9051)
Pd (0.4998, 0.9992, 0.9997)
Pd (0.7701, 0.5207, 0.0928)
Pd (0.8266, 0.9925, 0.3371)
Pt (0.2862, 0.7698, 0.2804)
Pt (0.4025, 0.2924, 0.3426)
Pt (0.5969, 0.7053, 0.6567)
Pt (0.7129, 0.2276, 0.7185)
Pt (0.9991, 0.4985, 0.4990)


Entry 4:
# CrPd3Pt4
Computed powder XRD pattern, Cu Kα X-rays. Input: DFT lattice parameters and positions (PBE).

Most intense lines, 2θ = 10–90°, in order of falling intensity:
2theta  I/Imax
39.70  100
46.35  33
81.38  25
67.21  21
45.81  16
80.59  12

Structural model:
a b c (Å): 3.9178 3.9178 15.8463
angles (deg): 90.00 90.00 90.00
Element x y z (fractional)
Cr (0.0000, 0.0000, 0.0000)
Cr (0.5000, 0.5000, 0.5000)
Pd (0.0000, 0.0000, 0.2511)
Pd (0.0000, 0.0000, 0.5000)
Pd (0.0000, 0.0000, 0.7489)
Pd (0.5000, 0.5000, 0.0000)
Pd (0.5000, 0.5000, 0.2489)
Pd (0.5000, 0.5000, 0.7511)
Pt (0.0000, 0.5000, 0.1209)
Pt (0.0000, 0.5000, 0.3791)
Pt (0.0000, 0.5000, 0.6209)
Pt (0.0000, 0.5000, 0.8791)
Pt (0.5000, 0.0000, 0.1209)
Pt (0.5000, 0.0000, 0.3791)
Pt (0.5000, 0.0000, 0.6209)
Pt (0.5000, 0.0000, 0.8791)


Entry 5:
# Cr2Pd8Pt
Computed powder XRD pattern, Cu Kα X-rays. Input: DFT lattice parameters and positions (PBE).

Most intense lines, 2θ = 10–90°, in order of falling intensity:
2theta  I/Imax
40.84  100
39.54  42
43.91  25
29.30  19
45.69  18
78.62  14

Structural model:
a b c (Å): 7.2004 7.2004 7.2004
angles (deg): 146.72 122.21 68.34
Element x y z (fractional)
Cr (0.1938, 0.1938, 0.0000)
Cr (0.8062, 0.8062, 0.0000)
Pd (0.0622, 0.3438, 0.7184)
Pd (0.1965, 0.0000, 0.1965)
Pd (0.3453, 0.8453, 0.5000)
Pd (0.3746, 0.6562, 0.7184)
Pd (0.6254, 0.3438, 0.2816)
Pd (0.6547, 0.1547, 0.5000)
Pd (0.8035, 0.0000, 0.8035)
Pd (0.9378, 0.6562, 0.2816)
Pt (0.5000, 0.5000, 0.0000)


Entry 6:
# CrPd3Rh6
Computed powder XRD pattern, Cu Kα X-rays. Input: DFT lattice parameters and positions (PBE).

Most intense lines, 2θ = 10–90°, in order of falling intensity:
2theta  I/Imax
38.05  100
44.67  83
39.54  35
66.04  23
63.97  19
77.88  16

Structural model:
a b c (Å): 5.0413 5.0413 6.8368
angles (deg): 90.00 90.00 120.00
Element x y z (fractional)
Cr (0.0000, 0.0000, 0.0000)
Pd (0.0000, 0.0000, 0.5000)
Pd (0.3333, 0.6667, 0.5000)
Pd (0.6667, 0.3333, 0.5000)
Rh (0.0000, 0.3901, 0.8208)
Rh (0.0000, 0.6099, 0.1792)
Rh (0.3901, 0.0000, 0.8208)
Rh (0.3901, 0.3901, 0.1792)
Rh (0.6099, 0.0000, 0.1792)
Rh (0.6099, 0.6099, 0.8208)


Entry 7:
# CrPdRu
Computed powder XRD pattern, Cu Kα X-rays. Input: DFT lattice parameters and positions (PBE).

Most intense lines, 2θ = 10–90°, in order of falling intensity:
2theta  I/Imax
41.00  100
47.83  57
41.43  28
84.41  20
70.27  19
69.66  18

Structural model:
a b c (Å): 2.6996 2.6996 6.5383
angles (deg): 90.00 90.00 120.00
Element x y z (fractional)
Cr (0.0000, 0.0000, 0.0000)
Pd (0.3333, 0.6667, 0.6683)
Ru (0.6667, 0.3333, 0.3012)


Entry 8:
# CrPd2Se4
Computed powder XRD pattern, Cu Kα X-rays. Input: DFT lattice parameters and positions (PBE).

Most intense lines, 2θ = 10–90°, in order of falling intensity:
2theta  I/Imax
48.76  100
28.01  65
33.94  59
44.56  43
23.82  29
29.28  19

Structural model:
a b c (Å): 7.4683 7.4683 10.5703
angles (deg): 90.00 90.00 90.00
Element x y z (fractional)
Cr (0.0000, 0.2411, 0.0000)
Cr (0.0000, 0.7589, 0.5000)
Cr (0.2411, 0.0000, 0.7500)
Cr (0.7589, 0.0000, 0.2500)
Pd (0.2414, 0.5000, 0.7500)
Pd (0.2591, 0.2591, 0.3750)
Pd (0.2591, 0.7409, 0.1250)
Pd (0.5000, 0.2414, 0.0000)
Pd (0.5000, 0.7586, 0.5000)
Pd (0.7409, 0.2591, 0.6250)
Pd (0.7409, 0.7409, 0.8750)
Pd (0.7586, 0.5000, 0.2500)
Se (0.0119, 0.2455, 0.7616)
Se (0.0119, 0.7545, 0.7384)
Se (0.2455, 0.0119, 0.9884)
Se (0.2455, 0.9881, 0.5116)
Se (0.2458, 0.4715, 0.9900)
Se (0.2458, 0.5285, 0.5100)
Se (0.4715, 0.2458, 0.7600)
Se (0.4715, 0.7542, 0.7400)
Se (0.5285, 0.2458, 0.2400)
Se (0.5285, 0.7542, 0.2600)
Se (0.7542, 0.4715, 0.0100)
Se (0.7542, 0.5285, 0.4900)
Se (0.7545, 0.0119, 0.0116)
Se (0.7545, 0.9881, 0.4884)
Se (0.9881, 0.2455, 0.2384)
Se (0.9881, 0.7545, 0.2616)


Entry 9:
# CrPdSe4
Computed powder XRD pattern, Cu Kα X-rays. Input: DFT lattice parameters and positions (PBE).

Most intense lines, 2θ = 10–90°, in order of falling intensity:
2theta  I/Imax
35.32  100
50.44  70
34.82  52
15.52  45
14.52  21
48.10  20

Structural model:
a b c (Å): 7.2552 7.2552 7.2552
angles (deg): 123.58 117.14 89.48
Element x y z (fractional)
Cr (0.5000, 0.0000, 0.0000)
Cr (0.5000, 0.5000, 0.5000)
Pd (0.0000, 0.0000, 0.0000)
Pd (0.5000, 0.0000, 0.5000)
Se (0.2567, 0.2534, 0.4967)
Se (0.2567, 0.7600, 0.0033)
Se (0.2576, 0.2466, 0.0111)
Se (0.2645, 0.7534, 0.5111)
Se (0.7355, 0.2466, 0.4889)
Se (0.7424, 0.7534, 0.9889)
Se (0.7433, 0.2400, 0.9967)
Se (0.7433, 0.7466, 0.5033)


Entry 10:
# Cr2PdSe4
Computed powder XRD pattern, Cu Kα X-rays. Input: DFT lattice parameters and positions (PBE).

Most intense lines, 2θ = 10–90°, in order of falling intensity:
2theta  I/Imax
48.99  100
28.14  53
34.09  52
29.41  44
44.77  43
23.93  37

Structural model:
a b c (Å): 7.4354 7.4354 7.4354
angles (deg): 119.93 119.93 90.12
Element x y z (fractional)
Cr (0.0000, 0.0000, 0.0000)
Cr (0.0000, 0.0000, 0.5000)
Cr (0.0000, 0.5000, 0.0000)
Cr (0.5000, 0.0000, 0.5000)
Pd (0.3750, 0.6250, 0.7500)
Pd (0.6250, 0.3750, 0.2500)
Se (0.2170, 0.2393, 0.9777)
Se (0.2384, 0.7607, 0.4777)
Se (0.2393, 0.2170, 0.4777)
Se (0.2393, 0.7616, 0.0223)
Se (0.7607, 0.2384, 0.9777)
Se (0.7607, 0.7830, 0.5223)
Se (0.7616, 0.2393, 0.5223)
Se (0.7830, 0.7607, 0.0223)


Entry 11:
# CrSiPd
Computed powder XRD pattern, Cu Kα X-rays. Input: DFT lattice parameters and positions (PBE).

Most intense lines, 2θ = 10–90°, in order of falling intensity:
2theta  I/Imax
40.24  100
39.93  37
34.91  37
46.88  32
46.05  28
39.36  26

Structural model:
a b c (Å): 2.9970 3.8758 6.8682
angles (deg): 90.00 90.00 90.00
Element x y z (fractional)
Cr (0.2500, 0.2500, 0.0147)
Cr (0.7500, 0.7500, 0.9853)
Si (0.2500, 0.7500, 0.2628)
Si (0.7500, 0.2500, 0.7372)
Pd (0.2500, 0.7500, 0.6227)
Pd (0.7500, 0.2500, 0.3773)


Entry 12:
# CrTe3Pd12
Computed powder XRD pattern, Cu Kα X-rays. Input: DFT lattice parameters and positions (PBE).

Most intense lines, 2θ = 10–90°, in order of falling intensity:
2theta  I/Imax
38.52  100
44.70  33
78.23  24
65.23  19
44.92  15
65.06  11

Structural model:
a b c (Å): 4.0547 4.0547 16.1446
angles (deg): 90.00 90.00 90.00
Element x y z (fractional)
Cr (0.0000, 0.0000, 0.0000)
Te (0.0000, 0.0000, 0.2383)
Te (0.0000, 0.0000, 0.5000)
Te (0.0000, 0.0000, 0.7617)
Pd (0.0000, 0.5000, 0.1177)
Pd (0.0000, 0.5000, 0.3736)
Pd (0.0000, 0.5000, 0.6264)
Pd (0.0000, 0.5000, 0.8823)
Pd (0.5000, 0.0000, 0.1177)
Pd (0.5000, 0.0000, 0.3736)
Pd (0.5000, 0.0000, 0.6264)
Pd (0.5000, 0.0000, 0.8823)
Pd (0.5000, 0.5000, 0.0000)
Pd (0.5000, 0.5000, 0.2487)
Pd (0.5000, 0.5000, 0.5000)
Pd (0.5000, 0.5000, 0.7513)